Computed X-ray diffraction stick pattern of CuP4W for Cu Kα X-rays, from a structure optimized by DFT (GGA-PBE).

Structure:
Lattice parameters (Å, degrees): 5.237 6.626 5.561 90.00 90.27 90.00
Space group P2/c (No. 13)
Symmetry-distinct sites (fractional):
Cu  0.000  0.118  0.250 [2 per cell]
P  0.168  0.408  0.048 [4 per cell]
P  0.335  0.091  0.565 [4 per cell]
W  0.500  0.404  0.750 [2 per cell]

The 8 most intense peaks (10 to 90 degrees two-theta), low angle first:
| Position (°2θ) | d [Å] | I_rel | (hkl) |
| --- | --- | --- | --- |
| 13.4 | 6.626 | 645 | 0 1 0 |
| 21.6 | 4.108 | 970 | 1 1 0 |
| 26.9 | 3.311 | 906 | 1 1 -1 |
| 27.0 | 3.299 | 725 | 1 1 1 |
| 31.4 | 2.846 | 726 | 0 2 1 |
| 39.2 | 2.299 | 610 | 1 1 2 |
| 47.6 | 1.911 | 1000 | 2 0 -2 |
| 56.9 | 1.617 | 582 | 0 2 3 |


Computed X-ray diffraction stick pattern of Rb3MgAg2Cl6 for Cu Kα X-rays, from a structure optimized by DFT (GGA-PBE).

Structure:
Lattice parameters (Å, degrees): 7.3968 7.3968 8.2349 90.00 90.00 120.00
Space group P-3m1 (No. 164)
Symmetry-distinct sites (fractional):
Rb  0.0000  0.0000  0.0000 [1 per cell]
Rb  0.3333  0.6667  0.6300 [2 per cell]
Mg  0.0000  0.0000  0.5000 [1 per cell]
Ag  0.3333  0.6667  0.1408 [2 per cell]
Cl  0.1592  0.3184  0.3169 [6 per cell]

The 8 most intense peaks (10 to 90 degrees two-theta), low angle first:
| Position (°2θ) | d [Å] | I_rel | (hkl) |
| --- | --- | --- | --- |
| 17.5 | 5.056 | 201 | 0 1 1 |
| 24.1 | 3.698 | 911 | 1 1 0 |
| 25.7 | 3.464 | 809 | 0 1 2 |
| 35.5 | 2.528 | 1000 | 2 0 2 |
| 42.3 | 2.135 | 201 | 3 0 0 |
| 43.4 | 2.087 | 391 | 1 2 2 |
| 49.3 | 1.849 | 327 | 2 2 0 |
| 62.2 | 1.492 | 185 | 0 4 2 |


Computed X-ray diffraction stick pattern of Ac2PPd3 for Cu Kα X-rays, from a structure optimized by DFT (GGA-PBE).

Structure:
Lattice parameters (Å, degrees): 4.156 4.408 7.802 90.00 90.00 90.00
Space group Pmm2 (No. 25)
Symmetry-distinct sites (fractional):
Ac  0.000  0.000  0.000 [1 per cell]
Ac  0.000  0.500  0.496 [1 per cell]
P  0.500  0.000  0.317 [1 per cell]
Pd  0.500  0.000  0.630 [1 per cell]
Pd  0.500  0.500  0.188 [1 per cell]
Pd  0.500  0.500  0.833 [1 per cell]

The 8 most intense peaks (10 to 90 degrees two-theta), low angle first:
| Position (°2θ) | d [Å] | I_rel | (hkl) |
| --- | --- | --- | --- |
| 23.2 | 3.838 | 189 | 0 1 1 |
| 31.5 | 2.844 | 477 | 1 0 2 |
| 31.7 | 2.820 | 1000 | 1 1 1 |
| 40.3 | 2.240 | 391 | 0 1 3 |
| 40.9 | 2.204 | 221 | 0 2 0 |
| 43.6 | 2.078 | 171 | 2 0 0 |
| 52.5 | 1.742 | 229 | 1 2 2 |
| 60.8 | 1.523 | 234 | 2 1 3 |